# 1
Structure and computed XRD peak list of Sm2Y8Ho3 (a cell relaxed with GGA-PBE; Cu Kα (weighted mean of Kα1 and Kα2)).

Cell and atoms:
a = 20.5441 Å, b = 7.6134 Å, c = 5.6154 Å
α = 90.00°, β = 90.03°, γ = 90.00°
Space group C2/m (No. 12)
Symmetry-distinct sites (fractional):
Sm: 0.2412 0.0000 0.4992 (multiplicity 4)
Y: 0.1064 0.2873 0.5002 (multiplicity 8)
Y: 0.1316 0.0000 0.9997 (multiplicity 4)
Y: 0.1660 0.5000 0.0006 (multiplicity 4)
Ho: 0.0000 0.0000 0.5000 (multiplicity 2)
Ho: 0.0000 0.2838 0.0000 (multiplicity 4)

The 10 most intense peaks (2θ = 5–70°), low angle first:
2θ/deg	intensity	hkl
18.0	9	2 0 1
24.9	23	2 2 0
29.4	28	5 1 1
30.6	30	6 0 -1
31.9	38	0 0 2
33.4	100	4 2 -1
34.9	14	8 0 0
40.9	12	2 2 -2
48.0	12	8 0 -2
57.8	26	4 2 -3

***

# 2
Structure and computed XRD peak list of BaH2O2 (a cell relaxed with GGA-PBE; Cu Kα (weighted mean of Kα1 and Kα2)).

Cell and atoms:
a = 7.6677 Å, b = 7.7618 Å, c = 11.1200 Å
α = 90.00°, β = 126.85°, γ = 90.00°
Space group P2_1/c (No. 14)
Symmetry-distinct sites (fractional):
Ba: 0.0740 0.0233 0.3460 (multiplicity 4)
Ba: 0.3307 0.5851 0.5988 (multiplicity 4)
H: 0.1741 0.2288 0.6144 (multiplicity 4)
H: 0.2620 0.2154 0.8199 (multiplicity 4)
H: 0.2950 0.6161 0.2075 (multiplicity 4)
H: 0.4306 0.7497 0.4086 (multiplicity 4)
O: 0.1105 0.1721 0.1301 (multiplicity 4)
O: 0.2792 0.7337 0.8176 (multiplicity 4)
O: 0.2922 0.5380 0.1351 (multiplicity 4)
O: 0.2991 0.1620 0.9132 (multiplicity 4)

The 10 most intense peaks (2θ = 5–70°), low angle first:
2θ/deg	intensity	hkl
22.9	42	0 2 0
23.3	72	2 0 -2
24.8	100	1 1 1
25.8	42	1 2 -1
26.9	100	1 1 -3
32.9	58	2 2 -2
40.3	29	0 3 2
40.6	46	0 0 4
44.6	34	3 1 -5
48.4	26	1 4 -1

***

# 3
Structure and computed XRD peak list of AlGaS (a cell relaxed with GGA-PBE; Cu Kα (weighted mean of Kα1 and Kα2)).

Cell and atoms:
a = 5.8148 Å, b = 16.7780 Å, c = 5.5110 Å
α = 90.00°, β = 90.00°, γ = 90.00°
Space group Cmce (No. 64)
Symmetry-distinct sites (fractional):
Al: 0.2500 0.0808 0.2500 (multiplicity 8)
Ga: 0.0000 0.0586 0.6841 (multiplicity 8)
S: 0.0000 0.1564 0.0204 (multiplicity 8)

The 10 most intense peaks (2θ = 5–70°), low angle first:
2θ/deg	intensity	hkl
10.5	100	0 2 0
26.7	16	0 4 1
27.4	31	1 3 1
30.8	17	2 0 0
34.3	16	0 2 2
36.5	32	2 2 1
41.2	41	2 4 1
46.3	13	0 6 2
52.5	15	1 1 3
64.1	15	4 0 0

***

# 4
Structure and computed XRD peak list of RbAc2IrO8 (a cell relaxed with GGA-PBE; Cu Kα (weighted mean of Kα1 and Kα2)).

Cell and atoms:
a = 4.4407 Å, b = 5.4785 Å, c = 7.7621 Å
α = 90.00°, β = 106.17°, γ = 90.00°
Space group P2/m (No. 10)
Symmetry-distinct sites (fractional):
Rb: 0.0000 0.0000 0.0000 (multiplicity 1)
Ac: 0.3760 0.5000 0.7095 (multiplicity 2)
Ir: 0.0000 0.0000 0.5000 (multiplicity 1)
O: 0.1648 0.5000 0.9957 (multiplicity 2)
O: 0.1877 0.2612 0.3966 (multiplicity 4)
O: 0.3411 0.0000 0.7163 (multiplicity 2)

The 10 most intense peaks (2θ = 5–70°), low angle first:
2θ/deg	intensity	hkl
11.9	59	0 0 1
20.9	28	1 0 -1
26.5	100	1 1 0
27.0	74	1 0 -2
29.0	91	0 1 2
31.5	45	1 1 1
32.7	49	0 2 0
36.2	23	1 0 2
42.9	57	1 2 -2
50.5	31	1 1 -4